No. 1
Computed X-ray diffraction stick pattern
Compound: Rb6Sn3Cl14
Radiation: Cu Kα
Structure: a crystal structure in Alexandria, relaxed with PBE
Peak positions follow from Bragg's law for the DFT cell and can differ from measured ones.

Structure:
```
data_Rb6Sn3Cl14
_chemical_formula_sum 'Rb6 Sn3 Cl14'
_symmetry_space_group_name_H-M 'P 3'
_symmetry_Int_Tables_number 143
_symmetry_space_group_name_Hall 'P 3'
_cell_length_a 11.4724
_cell_length_b 11.4724
_cell_length_c 8.1365
_cell_angle_alpha 90.00
_cell_angle_beta 90.00
_cell_angle_gamma 120.00
loop_
_atom_site_label
_atom_site_type_symbol
_atom_site_fract_x
_atom_site_fract_y
_atom_site_fract_z
Rb1 Rb 0.0533 0.5885 0.0000
Rb2 Rb 0.2723 0.0679 0.4784
Sn1 Sn 0.0000 0.0000 0.9231
Sn2 Sn 0.3333 0.6667 0.4342
Sn3 Sn 0.6667 0.3333 0.2809
Cl1 Cl 0.0000 0.0000 0.2971
Cl2 Cl 0.0525 0.8348 0.7553
Cl3 Cl 0.1861 0.4489 0.2626
Cl4 Cl 0.3333 0.6667 0.8178
Cl5 Cl 0.4652 0.2012 0.1042
Cl6 Cl 0.5313 0.3988 0.4544
```

Largest 12 diffraction maxima, low angle first, 10 to 90 degrees two-theta:
two_theta  d/Å  Rel. int.
14.1  6.295  64
15.4  5.736  50
18.9  4.688  46
21.0  4.240  100
26.1  3.410  65
28.4  3.147  47
29.1  3.067  36
32.5  2.758  66
34.4  2.610  37
37.8  2.380  37
41.1  2.197  53
41.7  2.168  38

No. 2
Computed X-ray diffraction stick pattern
Compound: DyGa2Se4
Radiation: Cu Kα
Structure: a crystal structure in Alexandria, relaxed with PBE
Peak positions follow from Bragg's law for the DFT cell and can differ from measured ones.

Structure:
```
data_DyGa2Se4
_chemical_formula_sum 'Dy2 Ga4 Se8'
_symmetry_space_group_name_H-M 'I 4/m'
_symmetry_Int_Tables_number 87
_symmetry_space_group_name_Hall '-I 4'
_cell_length_a 7.6297
_cell_length_b 7.6297
_cell_length_c 6.5470
_cell_angle_alpha 90.00
_cell_angle_beta 90.00
_cell_angle_gamma 90.00
loop_
_atom_site_label
_atom_site_type_symbol
_atom_site_fract_x
_atom_site_fract_y
_atom_site_fract_z
Dy1 Dy 0.0000 0.0000 0.0000
Ga1 Ga 0.0000 0.5000 0.2500
Se1 Se 0.1734 0.6816 0.5000
```

Largest 12 diffraction maxima, low angle first, 10 to 90 degrees two-theta:
two_theta  d/Å  Rel. int.
17.9  4.969  49
27.2  3.273  21
29.5  3.026  100
32.0  2.799  30
33.2  2.698  41
36.2  2.484  12
46.8  1.942  69
49.6  1.838  23
51.3  1.781  26
53.7  1.706  15
66.2  1.411  12
78.8  1.215  22